1.
The following is a calculated powder diffraction line list of Nd3GeH. It was derived from a structure optimized by DFT (GGA-PBE), using Cu Kα, 1.54184 Å.

Peak list (10 most intense, 15 to 90 degrees two-theta, low angle first)
index	d [Å]	two_theta	intensity
0 4 0	3.196	27.92	27.7
2 0 1	3.084	28.95	95.0
3 1 0	3.043	29.35	48.4
1 3 1	2.814	31.80	100.0
2 4 0	2.643	33.92	28.2
3 3 0	2.522	35.60	70.0
3 1 1	2.441	36.83	32.1
2 4 1	2.219	40.66	40.2
0 0 2	2.043	44.33	31.2
5 3 1	1.585	58.20	33.7

Crystal structure
```
data_Nd3GeH
_cell_length_a 9.399
_cell_length_b 12.783
_cell_length_c 4.087
_cell_angle_alpha 90.00
_cell_angle_beta 90.00
_cell_angle_gamma 90.00
_symmetry_space_group_name_H-M 'C m m m'
_symmetry_Int_Tables_number 65
_symmetry_space_group_name_Hall '-C 2 2'
loop_
_atom_site_label
_atom_site_fract_x
_atom_site_fract_y
_atom_site_fract_z
Nd1 0.000 0.175 0.000
Nd2 0.190 0.379 0.500
Ge1 0.000 0.000 0.500
Ge2 0.000 0.500 0.000
H1 0.250 0.250 0.000
```



2.
The following is a calculated powder diffraction line list of NdGe2HRu2. It was derived from a structure optimized by DFT (GGA-PBE), using Cu Kα, 1.54184 Å.

Peak list (10 most intense, 15 to 90 degrees two-theta, low angle first)
index	d [Å]	two_theta	intensity
1 0 1	3.284	27.16	24.3
1 1 1	2.578	34.80	100.0
1 0 2	2.248	40.11	44.4
2 0 0	2.081	43.48	51.3
1 1 2	1.978	45.88	15.0
2 1 2	1.527	60.63	25.9
1 1 3	1.524	60.79	14.3
2 2 0	1.472	63.18	16.6
3 1 1	1.278	74.20	21.5
2 0 4	1.124	86.60	13.4

Crystal structure
```
data_NdGe2HRu2
_cell_length_a 4.163
_cell_length_b 4.163
_cell_length_c 5.343
_cell_angle_alpha 90.00
_cell_angle_beta 90.00
_cell_angle_gamma 90.00
_symmetry_space_group_name_H-M 'P 4/m m m'
_symmetry_Int_Tables_number 123
_symmetry_space_group_name_Hall '-P 4 2'
loop_
_atom_site_label
_atom_site_fract_x
_atom_site_fract_y
_atom_site_fract_z
Nd1 0.000 0.000 0.000
Ge1 0.500 0.500 0.236
H1 0.000 0.000 0.500
Ru1 0.000 0.500 0.500
```



3.
The following is a calculated powder diffraction line list of Ni2GeH. It was derived from a structure optimized by DFT (GGA-PBE), using Cu Kα, 1.54184 Å.

Peak list (10 most intense, 15 to 90 degrees two-theta, low angle first)
index	d [Å]	two_theta	intensity
1 0 1	2.418	37.18	44.3
0 1 2	2.349	38.31	21.2
1 0 4	2.123	42.58	100.0
0 1 5	1.991	45.56	94.2
0 0 9	1.910	47.60	34.2
1 1 0	1.410	66.29	38.4
0 2 4	1.175	82.04	13.4
2 0 5	1.151	84.13	14.2
1 1 9	1.134	85.62	34.6
0 1 14	1.097	89.28	12.3

Crystal structure
```
data_Ni2GeH
_cell_length_a 2.8201
_cell_length_b 2.8201
_cell_length_c 17.1922
_cell_angle_alpha 90.00
_cell_angle_beta 90.00
_cell_angle_gamma 120.00
_symmetry_space_group_name_H-M 'R 3 m'
_symmetry_Int_Tables_number 160
_symmetry_space_group_name_Hall 'R 3 -2"'
loop_
_atom_site_label
_atom_site_fract_x
_atom_site_fract_y
_atom_site_fract_z
Ni1 0.0000 0.0000 0.0000
Ni2 0.0000 0.0000 0.2119
Ge1 0.0000 0.0000 0.7722
H1 0.0000 0.0000 0.6007
```



4.
The following is a calculated powder diffraction line list of Ni5Ge2H2. It was derived from a structure optimized by DFT (GGA-PBE), using Cu Kα, 1.54184 Å.

Peak list (10 most intense, 15 to 90 degrees two-theta, low angle first)
index	d [Å]	two_theta	intensity
1 1 1	2.388	37.67	10.2
1 1 -2	2.065	43.84	100.0
1 1 2	2.061	43.94	99.2
0 2 0	1.802	50.67	33.0
2 0 0	1.784	51.19	32.0
0 0 4	1.773	51.53	29.6
2 2 0	1.268	74.90	19.1
0 2 4	1.264	75.17	17.9
2 0 -4	1.260	75.45	8.9
2 0 4	1.256	75.74	8.7

Crystal structure
```
data_Ni5Ge2H2
_cell_length_a 3.569
_cell_length_b 3.603
_cell_length_c 7.094
_cell_angle_alpha 90.00
_cell_angle_beta 90.19
_cell_angle_gamma 90.00
_symmetry_space_group_name_H-M 'P 1 2/m 1'
_symmetry_Int_Tables_number 10
loop_
_symmetry_equiv_pos_as_xyz
'x,y,z'
'-x,-y,-z'
'-x,y,-z'
'x,-y,z'
loop_
_atom_site_label
_atom_site_fract_x
_atom_site_fract_y
_atom_site_fract_z
Ni1 0.000 0.000 0.000
Ni2 0.000 0.500 0.260
Ni3 0.499 0.000 0.735
Ge1 0.500 0.500 0.000
Ge2 0.500 0.500 0.500
H1 0.001 0.000 0.264
```



5.
The following is a calculated powder diffraction line list of Pm2Ni5Ge3H2. It was derived from a structure optimized by DFT (GGA-PBE), using Cu Kα, 1.54184 Å.

Peak list (10 most intense, 15 to 90 degrees two-theta, low angle first)
index	d [Å]	two_theta	intensity
0 0 6	3.460	25.75	18.4
1 0 5	2.879	31.06	37.6
1 1 0	2.829	31.62	24.4
1 1 2	2.730	32.81	30.9
1 0 7	2.380	37.79	29.4
1 1 6	2.189	41.24	100.0
2 0 0	2.001	45.33	60.1
2 2 0	1.415	66.04	18.8
2 1 13	1.190	80.72	16.6
3 1 6	1.188	80.90	26.0

Crystal structure
```
data_Pm2Ni5Ge3H2
_cell_length_a 4.001
_cell_length_b 4.001
_cell_length_c 20.730
_cell_angle_alpha 90.00
_cell_angle_beta 90.00
_cell_angle_gamma 90.00
_symmetry_space_group_name_H-M 'I 4/m m m'
_symmetry_Int_Tables_number 139
_symmetry_space_group_name_Hall '-I 4 2'
loop_
_atom_site_label
_atom_site_fract_x
_atom_site_fract_y
_atom_site_fract_z
Pm1 0.000 0.000 0.192
Ni1 0.000 0.000 0.000
Ni2 0.000 0.500 0.075
Ge1 0.000 0.000 0.352
Ge2 0.000 0.000 0.500
H1 0.000 0.000 0.077
```



6.
The following is a calculated powder diffraction line list of Pr2Ni5Ge3H2. It was derived from a structure optimized by DFT (GGA-PBE), using Cu Kα, 1.54184 Å.

Peak list (10 most intense, 15 to 90 degrees two-theta, low angle first)
index	d [Å]	two_theta	intensity
0 0 6	3.489	25.53	18.0
1 0 5	2.903	30.80	41.5
1 1 0	2.844	31.46	24.1
1 1 2	2.745	32.62	30.0
1 0 7	2.403	37.42	30.0
1 1 6	2.206	40.90	100.0
2 0 0	2.011	45.08	61.9
2 2 0	1.422	65.66	19.2
2 1 13	1.201	79.85	16.1
3 1 6	1.195	80.33	25.8

Crystal structure
```
data_Pr2Ni5Ge3H2
_cell_length_a 4.022
_cell_length_b 4.022
_cell_length_c 20.977
_cell_angle_alpha 90.00
_cell_angle_beta 90.00
_cell_angle_gamma 90.00
_symmetry_space_group_name_H-M 'I 4/m m m'
_symmetry_Int_Tables_number 139
_symmetry_space_group_name_Hall '-I 4 2'
loop_
_atom_site_label
_atom_site_fract_x
_atom_site_fract_y
_atom_site_fract_z
Pr1 0.000 0.000 0.191
Ni1 0.000 0.000 0.000
Ni2 0.000 0.500 0.074
Ge1 0.000 0.000 0.355
Ge2 0.000 0.000 0.500
H1 0.000 0.000 0.076
```



7.
The following is a calculated powder diffraction line list of Ni7Sn2GeH2. It was derived from a structure optimized by DFT (GGA-PBE), using Cu Kα, 1.54184 Å.

Peak list (10 most intense, 15 to 90 degrees two-theta, low angle first)
index	d [Å]	two_theta	intensity
1 0 5	2.728	32.83	15.1
1 1 0	2.602	34.47	16.3
1 1 2	2.520	35.62	26.8
1 1 4	2.316	38.89	31.4
1 1 6	2.063	43.88	100.0
0 0 10	2.032	44.58	18.1
2 0 0	1.840	49.55	52.6
2 0 10	1.364	68.84	19.3
2 2 0	1.301	72.69	16.1
3 1 6	1.100	88.95	24.6

Crystal structure
```
data_Ni7Sn2GeH2
_cell_length_a 3.679
_cell_length_b 3.679
_cell_length_c 20.324
_cell_angle_alpha 90.00
_cell_angle_beta 90.00
_cell_angle_gamma 90.00
_symmetry_space_group_name_H-M 'I 4/m m m'
_symmetry_Int_Tables_number 139
_symmetry_space_group_name_Hall '-I 4 2'
loop_
_atom_site_label
_atom_site_fract_x
_atom_site_fract_y
_atom_site_fract_z
Ni1 0.000 0.000 0.000
Ni2 0.000 0.000 0.174
Ni3 0.000 0.500 0.087
Sn1 0.000 0.000 0.304
Ge1 0.000 0.000 0.500
H1 0.000 0.000 0.087
```



8.
The following is a calculated powder diffraction line list of NpGeH. It was derived from a structure optimized by DFT (GGA-PBE), using Cu Kα, 1.54184 Å.

Peak list (10 most intense, 15 to 90 degrees two-theta, low angle first)
index	d [Å]	two_theta	intensity
0 2 1	3.262	27.34	37.3
1 1 1	2.790	32.08	100.0
0 4 0	2.773	32.28	15.4
1 3 0	2.752	32.54	59.9
0 4 1	2.285	39.43	32.7
1 3 1	2.273	39.64	17.0
2 0 0	2.060	43.94	20.6
0 0 2	2.017	44.94	19.3
1 3 2	1.627	56.57	25.7
2 4 1	1.530	60.50	18.9

Crystal structure
```
data_NpGeH
_cell_length_a 4.121
_cell_length_b 11.092
_cell_length_c 4.034
_cell_angle_alpha 90.00
_cell_angle_beta 90.00
_cell_angle_gamma 90.00
_symmetry_space_group_name_H-M 'C m c m'
_symmetry_Int_Tables_number 63
_symmetry_space_group_name_Hall '-C 2c 2'
loop_
_atom_site_label
_atom_site_fract_x
_atom_site_fract_y
_atom_site_fract_z
Np1 0.000 0.156 0.250
Ge1 0.000 0.432 0.250
H1 0.000 0.255 0.750
```



9.
The following is a calculated powder diffraction line list of NpGeHPt. It was derived from a structure optimized by DFT (GGA-PBE), using Cu Kα, 1.54184 Å.

Peak list (10 most intense, 15 to 90 degrees two-theta, low angle first)
index	d [Å]	two_theta	intensity
1 0 0	3.817	23.30	16.9
1 0 1	2.674	33.51	100.0
1 1 0	2.204	40.95	51.1
0 0 2	1.874	48.59	10.5
2 0 1	1.701	53.91	26.7
1 1 2	1.428	65.37	26.1
2 1 1	1.346	69.86	24.9
3 0 0	1.272	74.58	8.9
1 0 3	1.187	80.99	8.4
2 2 0	1.102	88.78	6.0

Crystal structure
```
data_NpGeHPt
_cell_length_a 4.4080
_cell_length_b 4.4080
_cell_length_c 3.7472
_cell_angle_alpha 90.00
_cell_angle_beta 90.00
_cell_angle_gamma 120.00
_symmetry_space_group_name_H-M 'P -6 m 2'
_symmetry_Int_Tables_number 187
_symmetry_space_group_name_Hall 'P -6 2'
loop_
_atom_site_label
_atom_site_fract_x
_atom_site_fract_y
_atom_site_fract_z
Np1 0.0000 0.0000 0.0000
Ge1 0.3333 0.6667 0.5000
H1 0.6667 0.3333 0.0000
Pt1 0.6667 0.3333 0.5000
```



10.
The following is a calculated powder diffraction line list of Rb3Ge7HO20. It was derived from a structure optimized by DFT (GGA-PBE), using Cu Kα, 1.54184 Å.

Peak list (10 most intense, 15 to 90 degrees two-theta, low angle first)
index	d [Å]	two_theta	intensity
2 0 2	3.923	22.67	92.2
3 0 0	3.199	27.89	97.7
0 2 4	2.780	32.20	84.3
2 2 0	2.768	32.34	100.0
3 0 3	2.615	34.29	47.5
2 1 4	2.482	36.19	94.4
0 4 2	2.262	39.86	33.2
2 2 6	1.757	52.04	35.9
4 2 2	1.752	52.22	50.3
6 0 0	1.600	57.62	38.9

Crystal structure
```
data_Rb3Ge7HO20
_cell_length_a 11.0734
_cell_length_b 11.0734
_cell_length_c 13.6449
_cell_angle_alpha 90.00
_cell_angle_beta 90.00
_cell_angle_gamma 120.00
_symmetry_space_group_name_H-M 'R 3 m'
_symmetry_Int_Tables_number 160
_symmetry_space_group_name_Hall 'R 3 -2"'
loop_
_atom_site_label
_atom_site_fract_x
_atom_site_fract_y
_atom_site_fract_z
Rb1 0.0032 0.5016 0.0000
Ge1 0.0000 0.0000 0.8626
Ge2 0.1035 0.2070 0.0450
Ge3 0.1679 0.3357 0.8303
H1 0.0000 0.0000 0.0576
O1 0.0000 0.0000 0.1292
O2 0.0000 0.0000 0.4112
O3 0.0095 0.2653 0.1232
O4 0.0507 0.5254 0.2723
O5 0.0808 0.1616 0.7896
O6 0.1514 0.0757 0.9676
O7 0.1753 0.3506 0.9599
```



11.
The following is a calculated powder diffraction line list of PaGeH. It was derived from a structure optimized by DFT (GGA-PBE), using Cu Kα, 1.54184 Å.

Peak list (10 most intense, 15 to 90 degrees two-theta, low angle first)
index	d [Å]	two_theta	intensity
0 0 1	3.855	23.07	14.8
1 0 0	3.404	26.18	56.2
1 0 1	2.552	35.17	100.0
1 1 0	1.965	46.19	29.3
1 1 1	1.751	52.24	10.6
1 0 2	1.677	54.72	15.7
2 0 1	1.557	59.36	22.7
1 1 2	1.376	68.14	18.6
2 1 1	1.220	78.35	20.6
1 0 3	1.202	79.76	9.8

Crystal structure
```
data_PaGeH
_cell_length_a 3.9306
_cell_length_b 3.9306
_cell_length_c 3.8555
_cell_angle_alpha 90.00
_cell_angle_beta 90.00
_cell_angle_gamma 120.00
_symmetry_space_group_name_H-M 'P -6 m 2'
_symmetry_Int_Tables_number 187
_symmetry_space_group_name_Hall 'P -6 2'
loop_
_atom_site_label
_atom_site_fract_x
_atom_site_fract_y
_atom_site_fract_z
Pa1 0.0000 0.0000 0.0000
Ge1 0.3333 0.6667 0.5000
H1 0.6667 0.3333 0.0000
```